Simulated powder diffraction line list
Compound: ZrV9Ge6
Radiation: copper Kα
Structure: a structure optimized by DFT (GGA-PBE)
Peak positions follow from Bragg's law for the DFT cell and can differ from measured ones.

Atomic structure:
a b c (Å): 7.2997 7.2997 7.2997
angles (deg): 96.46 96.46 140.80
Atoms (fractional coordinates):
Zr 0.0000 0.0000 0.0000
V 0.0280 0.8223 0.3473
V 0.1777 0.5250 0.2057
V 0.3193 0.9720 0.7943
V 0.4750 0.6807 0.6527
V 0.5000 0.5000 0.0000
V 0.5250 0.1777 0.2057
V 0.6807 0.4750 0.6527
V 0.8223 0.0280 0.3473
V 0.9720 0.3193 0.7943
Ge 0.0000 0.5000 0.5000
Ge 0.0924 0.0924 0.6551
Ge 0.4373 0.4373 0.3449
Ge 0.5000 0.0000 0.5000
Ge 0.5627 0.9076 0.0000
Ge 0.9076 0.5627 0.0000

The 6 most intense peaks (2θ = 10–90°), in order of rising 2θ:
38.09°, I = 172; 41.28°, I = 614; 41.53°, I = 537; 42.54°, I = 1000; 45.48°, I = 319; 70.11°, I = 198

---

Simulated powder diffraction line list
Compound: LaNi
Radiation: copper Kα
Structure: a structure optimized by DFT (GGA-PBE)
Peak positions follow from Bragg's law for the DFT cell and can differ from measured ones.

Atomic structure:
a b c (Å): 3.8436 10.7979 4.4141
angles (deg): 90.00 90.00 90.00
Atoms (fractional coordinates):
La 0.0000 0.1355 0.2500
La 0.0000 0.8645 0.7500
La 0.5000 0.3645 0.7500
La 0.5000 0.6355 0.2500
Ni 0.0000 0.4270 0.2500
Ni 0.0000 0.5730 0.7500
Ni 0.5000 0.0730 0.7500
Ni 0.5000 0.9270 0.2500

The 6 most intense peaks (2θ = 10–90°), in order of rising 2θ:
26.08°, I = 336; 31.97°, I = 1000; 33.19°, I = 289; 34.13°, I = 386; 39.93°, I = 610; 40.89°, I = 298

---

Simulated powder diffraction line list
Compound: CsHfMg6
Radiation: copper Kα
Structure: a structure optimized by DFT (GGA-PBE)
Peak positions follow from Bragg's law for the DFT cell and can differ from measured ones.

Atomic structure:
a b c (Å): 5.3465 7.2232 11.2171
angles (deg): 90.00 90.00 90.00
Atoms (fractional coordinates):
Cs 0.0000 0.0000 0.0000
Cs 0.0000 0.5000 0.5000
Hf 0.5000 0.0000 0.7780
Hf 0.5000 0.5000 0.2780
Mg 0.0000 0.0000 0.4526
Mg 0.0000 0.2078 0.7260
Mg 0.0000 0.2922 0.2260
Mg 0.0000 0.5000 0.9526
Mg 0.0000 0.7078 0.2260
Mg 0.0000 0.7922 0.7260
Mg 0.5000 0.0000 0.2753
Mg 0.5000 0.2103 0.5386
Mg 0.5000 0.2897 0.0386
Mg 0.5000 0.5000 0.7753
Mg 0.5000 0.7103 0.0386
Mg 0.5000 0.7897 0.5386

The 6 most intense peaks (2θ = 10–90°), in order of rising 2θ:
14.59°, I = 782; 22.15°, I = 461; 22.98°, I = 456; 31.72°, I = 327; 33.52°, I = 300; 33.95°, I = 1000

---

Simulated powder diffraction line list
Compound: PuRh2
Radiation: copper Kα
Structure: a structure optimized by DFT (GGA-PBE)
Peak positions follow from Bragg's law for the DFT cell and can differ from measured ones.

Atomic structure:
a b c (Å): 5.2380 5.2380 5.2380
angles (deg): 60.00 60.00 60.00
Atoms (fractional coordinates):
Pu 0.1250 0.1250 0.1250
Pu 0.8750 0.8750 0.8750
Rh 0.0000 0.5000 0.5000
Rh 0.5000 0.0000 0.5000
Rh 0.5000 0.5000 0.0000
Rh 0.5000 0.5000 0.5000

The 6 most intense peaks (2θ = 10–90°), in order of rising 2θ:
34.24°, I = 582; 40.38°, I = 1000; 42.26°, I = 176; 61.31°, I = 227; 65.47°, I = 324; 72.13°, I = 245

---

Simulated powder diffraction line list
Compound: ZnSn2O4
Radiation: copper Kα
Structure: a structure optimized by DFT (GGA-PBE)
Peak positions follow from Bragg's law for the DFT cell and can differ from measured ones.

Atomic structure:
a b c (Å): 6.2684 6.2684 25.4253
angles (deg): 98.68 98.68 60.82
Atoms (fractional coordinates):
Zn 0.0000 0.0000 0.0000
Zn 0.0018 0.0018 0.5889
Zn 0.1154 0.1154 0.9004
Zn 0.2390 0.2390 0.3326
Zn 0.2517 0.2517 0.7888
Zn 0.4857 0.4857 0.5285
Zn 0.7284 0.7284 0.2601
Zn 0.8661 0.8661 0.1554
Sn 0.2015 0.2015 0.1758
Sn 0.2194 0.7303 0.2743
Sn 0.2501 0.7526 0.7928
Sn 0.3746 0.3746 0.6490
Sn 0.4639 0.4639 0.9399
Sn 0.4861 0.9831 0.5344
Sn 0.4889 0.9936 0.0355
Sn 0.5100 0.5100 0.1230
Sn 0.6122 0.6122 0.3889
Sn 0.7246 0.7246 0.7063
Sn 0.7303 0.2194 0.2743
Sn 0.7526 0.2501 0.7928
Sn 0.7763 0.7763 0.8830
Sn 0.9572 0.9572 0.4454
Sn 0.9831 0.4861 0.5344
Sn 0.9936 0.4889 0.0355
O 0.0438 0.5727 0.2185
O 0.0472 0.0472 0.2313
O 0.0677 0.0677 0.7528
O 0.0753 0.5715 0.7479
O 0.1221 0.6249 0.1076
O 0.1410 0.1410 0.0627
O 0.1730 0.6453 0.5877
O 0.1836 0.1836 0.5866
O 0.2993 0.8116 0.4895
O 0.3002 0.3002 0.4943
O 0.3205 0.8637 0.9650
O 0.3428 0.3428 0.0085
O 0.4011 0.9411 0.8489
O 0.4018 0.8852 0.3304
O 0.4145 0.4145 0.3227
O 0.4346 0.4346 0.8341
O 0.5454 0.5454 0.2376
O 0.5715 0.0753 0.7479
O 0.5727 0.0438 0.2185
O 0.5729 0.5729 0.7524
O 0.6249 0.1221 0.1076
O 0.6430 0.6430 0.0632
O 0.6453 0.1730 0.5877
O 0.6652 0.6652 0.5724
O 0.8076 0.8076 0.4925
O 0.8116 0.2993 0.4895
O 0.8265 0.8265 0.0034
O 0.8637 0.3205 0.9650
O 0.8852 0.4018 0.3304
O 0.8956 0.8956 0.3108
O 0.9411 0.4011 0.8489
O 0.9466 0.9466 0.8435

The 6 most intense peaks (2θ = 10–90°), in order of rising 2θ:
28.50°, I = 563; 28.60°, I = 619; 29.42°, I = 551; 31.60°, I = 1000; 33.01°, I = 631; 34.27°, I = 713

---

Simulated powder diffraction line list
Compound: Gd4Co3B6
Radiation: copper Kα
Structure: a structure optimized by DFT (GGA-PBE)
Peak positions follow from Bragg's law for the DFT cell and can differ from measured ones.

Atomic structure:
a b c (Å): 8.0710 8.0710 8.0710
angles (deg): 38.44 38.44 38.44
Atoms (fractional coordinates):
Gd 0.0885 0.0885 0.0885
Gd 0.2446 0.2446 0.2446
Gd 0.7554 0.7554 0.7554
Gd 0.9115 0.9115 0.9115
Co 0.3866 0.3866 0.3866
Co 0.5000 0.5000 0.5000
Co 0.6134 0.6134 0.6134
B 0.0000 0.3325 0.6675
B 0.0000 0.6675 0.3325
B 0.3325 0.0000 0.6675
B 0.3325 0.6675 0.0000
B 0.6675 0.0000 0.3325
B 0.6675 0.3325 0.0000

The 6 most intense peaks (2θ = 10–90°), in order of rising 2θ:
23.84°, I = 386; 33.74°, I = 1000; 34.13°, I = 247; 41.73°, I = 700; 60.35°, I = 214; 60.62°, I = 265

---

Simulated powder diffraction line list
Compound: TbCdAu
Radiation: copper Kα
Structure: a structure optimized by DFT (GGA-PBE)
Peak positions follow from Bragg's law for the DFT cell and can differ from measured ones.

Atomic structure:
a b c (Å): 7.9315 7.9315 3.8512
angles (deg): 90.00 90.00 120.00
Atoms (fractional coordinates):
Tb 0.0000 0.5954 0.0000
Tb 0.4046 0.4046 0.0000
Tb 0.5954 0.0000 0.0000
Cd 0.0000 0.2647 0.5000
Cd 0.2647 0.0000 0.5000
Cd 0.7353 0.7353 0.5000
Au 0.0000 0.0000 0.0000
Au 0.3333 0.6667 0.5000
Au 0.6667 0.3333 0.5000

The 6 most intense peaks (2θ = 10–90°), in order of rising 2θ:
32.41°, I = 811; 34.55°, I = 322; 35.01°, I = 1000; 39.35°, I = 600; 41.97°, I = 409; 63.82°, I = 383

---

Question: Which formula does entry 4 have?
Answer: PuRh2